Structure and computed PXRD pattern of ScMn2SnO6 (a GGA+U-relaxed structure; Cu Ka).
Neutral-atom scattering factors, no anomalous dispersion.

Top 10 peaks for 2θ from 5° to 70°, in order of rising 2θ:
hkl  2θ (°)  I/Imax
1 -1 0  20.29  288
-1 1 1  22.98  559
1 -1 1  31.61  720
1 0 -2  31.70  359
1 -2 0  33.78  1000
1 1 0  38.76  249
0 2 -2  46.90  300
1 1 1  51.37  350
2 -3 1  59.03  272
3 0 -2  60.47  279

Crystal structure
a = 5.299 Å, b = 5.310 Å, c = 5.670 Å
α = 90.20°, β = 117.64°, γ = 119.91°
Atoms (fractional coordinates):
Sc: 0.000 0.000 0.000
Mn: 0.556 0.278 0.833
Mn: 0.594 0.797 0.392
Sn: 0.977 0.486 0.464
O: 0.059 0.185 0.663
O: 0.109 0.409 0.182
O: 0.478 0.870 0.663
O: 0.483 0.073 0.186
O: 0.776 0.700 0.185
O: 0.791 0.604 0.663